# 1
Structure and calculated X-ray powder pattern of KZnBr3O2 (a structure optimized by DFT (PBE); a wavelength of 1.5418 Å).
Neutral-atom scattering factors, no anomalous dispersion.

Structure:
```
KZnBr3O2
1.0
6.781 0.000 0.000
0.000 13.166 0.000
-4.929 0.000 10.110
K Zn Br O
4 4 12 8
direct
0.225 0.177 0.488
0.225 0.323 0.988
0.775 0.677 0.012
0.775 0.823 0.512
0.493 0.048 0.251
0.493 0.452 0.751
0.507 0.548 0.249
0.507 0.952 0.749
0.137 0.114 0.157
0.137 0.386 0.657
0.263 0.591 0.027
0.263 0.909 0.527
0.415 0.098 0.833
0.415 0.402 0.333
0.585 0.598 0.667
0.585 0.902 0.167
0.737 0.091 0.473
0.737 0.409 0.973
0.863 0.614 0.343
0.863 0.886 0.843
0.197 0.717 0.736
0.197 0.783 0.236
0.324 0.722 0.317
0.324 0.778 0.817
0.676 0.222 0.183
0.676 0.278 0.683
0.803 0.217 0.764
0.803 0.283 0.264
```

The 10 most intense peaks (2θ = 15–90°), sorted by position:
d/Å  I (rel.)
5.157  30
3.676  42
3.342  100
3.265  61
3.248  56
2.952  20
2.216  24
2.073  30
1.849  26
1.843  25


# 2
Structure and calculated X-ray powder pattern of RbSn2Se4 (a structure optimized by DFT (PBE); a wavelength of 1.5418 Å).
Neutral-atom scattering factors, no anomalous dispersion.

Structure:
```
RbSn2Se4
1.0
7.791 0.000 0.000
0.000 20.047 0.000
-6.697 0.000 12.994
Rb Sn Se
8 16 32
direct
0.090 0.200 0.416
0.090 0.300 0.916
0.162 0.559 0.419
0.162 0.941 0.919
0.838 0.059 0.081
0.838 0.441 0.581
0.910 0.700 0.084
0.910 0.800 0.584
0.053 0.124 0.693
0.053 0.376 0.193
0.356 0.536 0.175
0.356 0.964 0.675
0.379 0.179 0.210
0.379 0.321 0.710
0.395 0.639 0.758
0.395 0.861 0.258
0.605 0.139 0.742
0.605 0.361 0.242
0.621 0.679 0.290
0.621 0.821 0.790
0.644 0.036 0.325
0.644 0.464 0.825
0.947 0.624 0.807
0.947 0.876 0.307
0.027 0.522 0.163
0.027 0.978 0.663
0.033 0.622 0.643
0.033 0.878 0.143
0.046 0.217 0.164
0.046 0.283 0.664
0.389 0.061 0.136
0.389 0.439 0.636
0.389 0.650 0.098
0.389 0.850 0.598
0.427 0.133 0.850
0.427 0.367 0.350
0.435 0.748 0.862
0.435 0.752 0.362
0.458 0.058 0.588
0.458 0.442 0.088
0.542 0.558 0.912
0.542 0.942 0.412
0.565 0.248 0.638
0.565 0.252 0.138
0.573 0.633 0.650
0.573 0.867 0.150
0.611 0.150 0.402
0.611 0.350 0.902
0.611 0.561 0.364
0.611 0.939 0.864
0.954 0.717 0.336
0.954 0.783 0.836
0.967 0.122 0.857
0.967 0.378 0.357
0.973 0.022 0.337
0.973 0.478 0.837
```

The 10 most intense peaks (2θ = 15–90°), sorted by position:
d/Å  I (rel.)
3.883  26
3.463  39
3.415  55
3.236  100
3.212  38
2.892  48
2.740  30
2.132  24
2.055  28
1.916  26


# 3
Structure and calculated X-ray powder pattern of ZrMnGa (a structure optimized by DFT (PBE); a wavelength of 1.5418 Å).
Neutral-atom scattering factors, no anomalous dispersion.

Structure:
```
ZrMnGa
1.0
8.461 0.000 0.000
0.000 2.570 4.394
0.000 -2.570 4.394
Zr Mn Ga
4 4 4
direct
0.176 0.000 0.000
0.308 0.664 0.664
0.692 0.664 0.664
0.824 0.000 0.000
0.000 0.505 0.505
0.000 0.515 0.955
0.000 0.955 0.515
0.500 0.165 0.165
0.233 0.324 0.324
0.500 0.163 0.675
0.500 0.675 0.163
0.767 0.324 0.324
```

The 10 most intense peaks (2θ = 15–90°), sorted by position:
d/Å  I (rel.)
2.545  54
2.380  93
2.374  50
2.196  65
2.181  100
2.146  77
2.127  34
1.396  24
1.345  32
1.273  24


# 4
Structure and calculated X-ray powder pattern of Ge2Pb5SO12 (a structure optimized by DFT (PBE); a wavelength of 1.5418 Å).
Neutral-atom scattering factors, no anomalous dispersion.

Structure:
```
Ge2Pb5SO12
1.0
10.270 0.000 0.000
0.000 7.490 0.000
-5.105 0.000 8.921
Ge Pb S O
4 10 2 24
direct
0.000 0.000 0.000
0.017 0.500 0.615
0.247 0.500 0.206
0.602 0.500 0.977
0.273 0.262 0.923
0.273 0.738 0.923
0.370 0.000 0.338
0.387 0.500 0.634
0.595 0.500 0.327
0.638 0.000 0.859
0.885 0.500 0.854
0.903 0.000 0.636
0.955 0.269 0.256
0.955 0.731 0.256
0.223 0.000 0.581
0.641 0.000 0.223
0.054 0.000 0.515
0.100 0.000 0.898
0.123 0.000 0.197
0.125 0.500 0.280
0.143 0.500 0.003
0.221 0.500 0.720
0.267 0.161 0.527
0.267 0.839 0.527
0.295 0.000 0.748
0.372 0.315 0.259
0.372 0.685 0.259
0.473 0.000 0.131
0.503 0.500 0.079
0.532 0.316 0.850
0.532 0.684 0.850
0.696 0.162 0.319
0.696 0.838 0.319
0.706 0.000 0.118
0.800 0.500 0.092
0.876 0.185 0.953
0.876 0.815 0.953
0.936 0.500 0.419
0.976 0.313 0.696
0.976 0.687 0.696
```

The 10 most intense peaks (2θ = 15–90°), sorted by position:
d/Å  I (rel.)
4.454  34
4.240  29
3.452  30
3.368  34
3.071  76
3.028  100
2.972  42
2.121  21
2.005  30
1.584  20


# 5
Structure and calculated X-ray powder pattern of MgZrTiPb2O6 (a structure optimized by DFT (PBE); a wavelength of 1.5418 Å).
Neutral-atom scattering factors, no anomalous dispersion.

Structure:
```
MgZrTiPb2O6
1.0
5.419 -4.101 0.000
5.419 4.101 0.000
-0.037 0.000 3.950
Mg Zr Ti Pb O
1 1 1 2 6
direct
0.000 0.000 0.000
0.744 0.744 0.490
0.200 0.200 0.474
0.253 0.603 0.912
0.603 0.253 0.912
0.027 0.027 0.501
0.052 0.499 0.490
0.186 0.186 0.008
0.499 0.052 0.490
0.567 0.567 0.496
0.807 0.807 0.993
```

The 10 most intense peaks (2θ = 15–90°), sorted by position:
d/Å  I (rel.)
5.419  97
3.950  41
3.306  41
3.270  78
3.206  100
3.178  78
2.845  48
2.710  36
2.651  92
2.201  77


# 6
Structure and calculated X-ray powder pattern of Bi2Sb2Te3Se3 (a structure optimized by DFT (PBE); a wavelength of 1.5418 Å).
Neutral-atom scattering factors, no anomalous dispersion.

Structure:
```
Bi2Sb2Te3Se3
1.0
2.128 1.228 20.381
-2.128 1.228 20.381
0.000 -2.457 20.381
Bi Sb Te Se
2 2 3 3
direct
0.000 0.000 0.000
0.498 0.498 0.498
0.394 0.394 0.394
0.892 0.892 0.892
0.089 0.089 0.089
0.303 0.303 0.303
0.587 0.587 0.587
0.195 0.195 0.195
0.698 0.698 0.698
0.806 0.806 0.806
```

The 10 most intense peaks (2θ = 15–90°), sorted by position:
d/Å  I (rel.)
5.095  14
3.156  100
2.653  11
2.353  31
2.128  38
1.982  12
1.764  19
1.578  9
1.358  16
1.327  14


# 7
Structure and calculated X-ray powder pattern of PtRh (a structure optimized by DFT (PBE); a wavelength of 1.5418 Å).
Neutral-atom scattering factors, no anomalous dispersion.

Structure:
```
PtRh
1.0
1.385 0.800 4.506
-1.385 0.800 4.506
0.000 -1.599 4.506
Pt Rh
1 1
direct
0.000 0.000 0.000
0.500 0.500 0.500
```

The 10 most intense peaks (2θ = 15–90°), sorted by position:
d/Å  I (rel.)
4.506  15
2.362  10
2.261  100
2.253  33
1.956  65
1.385  21
1.381  21
1.180  38
1.178  13
1.130  11


# 8
Structure and calculated X-ray powder pattern of RbMg14Al (a structure optimized by DFT (PBE); a wavelength of 1.5418 Å).
Neutral-atom scattering factors, no anomalous dispersion.

Structure:
```
RbMg14Al
1.0
10.589 0.000 0.000
0.000 3.308 5.621
0.000 -3.308 5.621
Rb Mg Al
1 14 1
direct
0.000 0.000 0.000
0.000 0.010 0.495
0.000 0.495 0.010
0.240 0.664 0.664
0.261 0.176 0.652
0.261 0.652 0.176
0.267 0.172 0.172
0.500 0.499 0.499
0.500 0.501 0.995
0.500 0.995 0.501
0.500 0.997 0.997
0.733 0.172 0.172
0.739 0.176 0.652
0.739 0.652 0.176
0.760 0.664 0.664
0.000 0.484 0.484
```

The 10 most intense peaks (2θ = 15–90°), sorted by position:
d/Å  I (rel.)
2.851  24
2.810  14
2.647  37
2.510  100
2.482  47
1.940  15
1.630  16
1.501  18
1.388  18
1.376  13


# 9
Structure and calculated X-ray powder pattern of RbLiBr2 (a structure optimized by DFT (PBE); a wavelength of 1.5418 Å).
Neutral-atom scattering factors, no anomalous dispersion.

Structure:
```
RbLiBr2
1.0
2.209 -7.676 0.000
2.209 7.676 0.000
0.000 0.000 7.788
Rb Li Br
2 2 4
direct
0.127 0.873 0.750
0.873 0.127 0.250
0.394 0.606 0.750
0.606 0.394 0.250
0.194 0.806 0.250
0.500 0.500 0.000
0.500 0.500 0.500
0.806 0.194 0.750
```

The 10 most intense peaks (2θ = 15–90°), sorted by position:
d/Å  I (rel.)
3.473  51
3.344  100
3.073  37
2.870  79
2.733  32
2.431  21
2.209  22
1.864  17
1.718  16
1.683  26


# 10
Structure and calculated X-ray powder pattern of ZnCu2P2O8 (a structure optimized by DFT (PBE); a wavelength of 1.5418 Å).
Neutral-atom scattering factors, no anomalous dispersion.

Structure:
```
ZnCu2P2O8
1.0
8.797 -2.539 0.000
8.797 2.539 0.000
-8.109 0.000 13.600
Zn Cu P O
4 8 8 32
direct
0.066 0.664 0.876
0.336 0.934 0.624
0.664 0.066 0.376
0.934 0.336 0.124
0.000 0.500 0.000
0.135 0.663 0.532
0.146 0.854 0.750
0.337 0.865 0.968
0.500 0.000 0.500
0.663 0.135 0.032
0.854 0.146 0.250
0.865 0.337 0.468
0.007 0.574 0.641
0.276 0.690 0.393
0.310 0.724 0.107
0.426 0.993 0.859
0.574 0.007 0.141
0.690 0.276 0.893
0.724 0.310 0.607
0.993 0.426 0.359
0.081 0.514 0.738
0.110 0.804 0.298
0.111 0.711 0.418
0.133 0.632 0.645
0.140 0.312 0.558
0.152 0.690 0.024
0.182 0.312 0.893
0.196 0.890 0.202
0.289 0.889 0.082
0.310 0.848 0.476
0.312 0.140 0.058
0.312 0.182 0.393
0.368 0.867 0.855
0.375 0.582 0.884
0.418 0.625 0.616
0.486 0.919 0.762
0.514 0.081 0.238
0.582 0.375 0.384
0.625 0.418 0.116
0.632 0.133 0.145
0.688 0.818 0.607
0.688 0.860 0.942
0.690 0.152 0.524
0.711 0.111 0.918
0.804 0.110 0.798
0.818 0.688 0.107
0.848 0.310 0.976
0.860 0.688 0.442
0.867 0.368 0.355
0.889 0.289 0.582
0.890 0.196 0.702
0.919 0.486 0.262
```

The 10 most intense peaks (2θ = 15–90°), sorted by position:
d/Å  I (rel.)
4.798  49
4.322  22
3.186  72
2.892  53
2.861  100
2.686  46
2.562  34
2.539  70
2.413  57
1.804  35